Entry 1:
Simulated powder XRD pattern
Compound: CsNa2Cl
Radiation: λ = 1.5418 Å (Cu Kα)
Structure: a crystal structure in Alexandria, relaxed with PBE
Neutral-atom scattering factors, no anomalous dispersion.

Cell and atoms:
a = 8.7930 Å, b = 8.7930 Å, c = 12.3804 Å
α = 90.00°, β = 90.00°, γ = 90.00°
Space group I4_1/amd (No. 141, origin choice 2)
One atom of each set of equivalent atoms:
Cs 0.0000 0.2500 0.3750
Na 0.0000 0.0000 0.0000
Cl 0.0000 0.2500 0.8750

Principal peaks in the range 2θ = 10–80°, low angle first:
2θ/deg	I (rel.)
12.35	10
20.23	100
23.77	39
35.42	46
37.61	12
41.12	25
46.18	14
55.33	16


Entry 2:
Simulated powder XRD pattern
Compound: Ho2TmPaSb4
Radiation: λ = 1.5418 Å (Cu Kα)
Structure: a crystal structure in Alexandria, relaxed with PBE
Neutral-atom scattering factors, no anomalous dispersion.

Cell and atoms:
a = 7.5442 Å, b = 4.3581 Å, c = 7.5538 Å
α = 90.00°, β = 109.38°, γ = 90.00°
Space group P2/m (No. 10)
One atom of each set of equivalent atoms:
Ho 0.0000 0.0000 0.0000
Ho 0.5000 0.5000 0.0000
Tm 0.0000 0.5000 0.5000
Pa 0.5000 0.0000 0.5000
Sb 0.2478 0.5000 0.2493
Sb 0.2486 0.0000 0.7483

Principal peaks in the range 2θ = 10–80°, low angle first:
2θ/deg	I (rel.)
25.02	7
28.97	100
41.43	76
51.34	27
60.03	13
68.00	29
75.53	15
75.61	11